Simulated PXRD pattern
Compound: Yb4Fe3B6
Radiation: Cu Kα X-rays
Structure: the GGA-PBE geometry in Alexandria
Kinematic intensities with the Lorentz-polarization factor, no thermal factor.

Atomic structure:
```
data_Yb4Fe3B6
_space_group_name_H-M_alt 'R -3 m'
_space_group_IT_number 166
_space_group_name_Hall '-R 3 2"'
_cell_length_a 5.5478
_cell_length_b 5.5478
_cell_length_c 21.9841
_cell_angle_alpha 90.00
_cell_angle_beta 90.00
_cell_angle_gamma 120.00
loop_
_atom_site_label
_atom_site_type_symbol
_atom_site_fract_x
_atom_site_fract_y
_atom_site_fract_z
_atom_site_occupancy
Yb1 Yb 0.0000 0.0000 0.0757 1
Yb2 Yb 0.0000 0.0000 0.2594 1
Fe1 Fe 0.0000 0.0000 0.3924 1
Fe2 Fe 0.0000 0.0000 0.5000 1
B1 B 0.0000 0.3535 0.5000 1
```

Most intense lines, 2θ from 15° to 90°, low angle first:
2theta	I/Imax	(hkl)
24.29	36	0 0 6
27.50	18	0 1 5
32.27	100	1 1 0
36.79	10	0 0 9
40.80	71	1 1 6
49.74	24	0 0 12
57.55	22	3 0 0
60.57	15	1 1 12
63.39	18	3 0 6
67.54	12	2 2 0
72.96	21	2 2 6
79.48	13	3 0 12